(1)
Diffraction record for Pr3TeBr3. The powder diffraction line list is computed, not measured: it uses a crystal structure in Alexandria, relaxed with GGA-PBE and CuKα.
Peak positions follow from Bragg's law for the DFT cell and can differ from measured ones.

Crystal structure
```
data_Pr3TeBr3
_cell_length_a 12.3040
_cell_length_b 12.3040
_cell_length_c 12.3040
_cell_angle_alpha 90.00
_cell_angle_beta 90.00
_cell_angle_gamma 90.00
_space_group_name_H-M_alt 'I 41 3 2'
_space_group_IT_number 214
_space_group_name_Hall 'I 4bd 2c 3'
loop_
_atom_site_label
_atom_site_type_symbol
_atom_site_fract_x
_atom_site_fract_y
_atom_site_fract_z
Pr1 Pr 0.1213 0.3713 0.1250
Te1 Te 0.1250 0.1250 0.1250
Br1 Br 0.1186 0.1314 0.6250
```

Top 10 peaks for 15° ≤ 2θ ≤ 90°, by intensity:
- 2θ 29.03, rel. 100.0, hkl 4 0 0
- 2θ 41.52, rel. 74.6, hkl 4 4 0
- 2θ 68.17, rel. 33.0, hkl 8 4 0
- 2θ 51.46, rel. 26.3, hkl 4 4 4
- 2θ 75.74, rel. 24.3, hkl 8 4 4
- 2θ 60.17, rel. 12.1, hkl 8 0 0
- 2θ 22.86, rel. 9.7, hkl 3 1 0
- 2θ 37.26, rel. 8.3, hkl 5 1 0
- 2θ 30.83, rel. 6.9, hkl 4 1 1
- 2θ 27.12, rel. 6.1, hkl 3 2 1

=====

(2)
Diffraction record for PrThBr5. The powder diffraction line list is computed, not measured: it uses a crystal structure in Alexandria, relaxed with GGA-PBE and CuKα.
Peak positions follow from Bragg's law for the DFT cell and can differ from measured ones.

Crystal structure
```
data_PrThBr5
_cell_length_a 8.6824
_cell_length_b 3.9839
_cell_length_c 13.9115
_cell_angle_alpha 90.00
_cell_angle_beta 93.36
_cell_angle_gamma 90.00
_space_group_name_H-M_alt 'P 1 21/m 1'
_space_group_IT_number 11
loop_
_space_group_symop_operation_xyz
'x,y,z'
'-x,-y,-z'
'-x,y+1/2,-z'
'x,-y+1/2,z'
loop_
_atom_site_label
_atom_site_type_symbol
_atom_site_fract_x
_atom_site_fract_y
_atom_site_fract_z
Pr1 Pr 0.0768 0.2500 0.1587
Th1 Th 0.3937 0.7500 0.3529
Br1 Br 0.1440 0.2500 0.3767
Br2 Br 0.1494 0.2500 0.7808
Br3 Br 0.1817 0.7500 0.0143
Br4 Br 0.3590 0.7500 0.5738
Br5 Br 0.4306 0.2500 0.1956
```

Top 10 peaks for 15° ≤ 2θ ≤ 90°, by intensity:
- 2θ 30.95, rel. 100.0, hkl 1 1 -3
- 2θ 30.48, rel. 70.2, hkl 2 1 0
- 2θ 32.02, rel. 49.1, hkl 3 0 1
- 2θ 28.08, rel. 45.5, hkl 1 1 2
- 2θ 45.53, rel. 41.8, hkl 0 2 0
- 2θ 25.61, rel. 39.8, hkl 0 0 4
- 2θ 41.07, rel. 39.2, hkl 2 1 4
- 2θ 32.67, rel. 36.0, hkl 2 1 -2
- 2θ 34.26, rel. 33.4, hkl 0 1 4
- 2θ 40.45, rel. 30.3, hkl 1 1 -5

=====

(3)
Diffraction record for PrTl3Br6. The powder diffraction line list is computed, not measured: it uses a crystal structure in Alexandria, relaxed with GGA-PBE and CuKα.
Peak positions follow from Bragg's law for the DFT cell and can differ from measured ones.

Crystal structure
```
data_PrTl3Br6
_cell_length_a 7.9015
_cell_length_b 8.7133
_cell_length_c 13.5194
_cell_angle_alpha 90.00
_cell_angle_beta 122.06
_cell_angle_gamma 90.00
_space_group_name_H-M_alt 'P 1 21/c 1'
_space_group_IT_number 14
loop_
_space_group_symop_operation_xyz
'x,y,z'
'-x,-y,-z'
'-x,y+1/2,-z+1/2'
'x,-y+1/2,z+1/2'
loop_
_atom_site_label
_atom_site_type_symbol
_atom_site_fract_x
_atom_site_fract_y
_atom_site_fract_z
Pr1 Pr 0.0000 0.0000 0.0000
Tl1 Tl 0.3003 0.0790 0.7716
Tl2 Tl 0.5000 0.0000 0.5000
Br1 Br 0.0936 0.0672 0.2362
Br2 Br 0.2467 0.7211 0.0840
Br3 Br 0.3548 0.1692 0.0463
```

Top 10 peaks for 15° ≤ 2θ ≤ 90°, by intensity:
- 2θ 22.23, rel. 100.0, hkl 1 1 -3
- 2θ 21.20, rel. 99.8, hkl 1 1 1
- 2θ 31.21, rel. 86.5, hkl 0 0 4
- 2θ 30.58, rel. 61.7, hkl 2 2 -2
- 2θ 38.18, rel. 53.6, hkl 3 1 -1
- 2θ 39.99, rel. 51.5, hkl 3 1 -5
- 2θ 28.52, rel. 47.9, hkl 1 1 -4
- 2θ 37.59, rel. 46.8, hkl 0 2 4
- 2θ 33.64, rel. 41.6, hkl 1 3 0
- 2θ 20.38, rel. 35.1, hkl 0 2 0

=====

(4)
Diffraction record for Pr6ZnBr8. The powder diffraction line list is computed, not measured: it uses a crystal structure in Alexandria, relaxed with GGA-PBE and CuKα.
Peak positions follow from Bragg's law for the DFT cell and can differ from measured ones.

Crystal structure
```
data_Pr6ZnBr8
_cell_length_a 7.3764
_cell_length_b 7.3764
_cell_length_c 32.7916
_cell_angle_alpha 90.00
_cell_angle_beta 90.00
_cell_angle_gamma 120.00
_space_group_name_H-M_alt 'R -3'
_space_group_IT_number 148
_space_group_name_Hall '-R 3'
loop_
_atom_site_label
_atom_site_type_symbol
_atom_site_fract_x
_atom_site_fract_y
_atom_site_fract_z
Pr1 Pr 0.0000 0.3170 0.0526
Zn1 Zn 0.0000 0.0000 0.0000
Br1 Br 0.0000 0.0000 0.3333
Br2 Br 0.0000 0.3360 0.8918
```

Top 10 peaks for 15° ≤ 2θ ≤ 90°, by intensity:
- 2θ 29.21, rel. 100.0, hkl 2 -1 6
- 2θ 41.11, rel. 36.7, hkl 1 1 12
- 2θ 42.45, rel. 32.5, hkl 3 0 0
- 2θ 52.36, rel. 18.5, hkl 2 2 6
- 2θ 67.69, rel. 15.3, hkl 3 0 18
- 2θ 69.60, rel. 15.1, hkl 5 -1 6
- 2θ 24.13, rel. 11.3, hkl 1 1 0
- 2θ 60.57, rel. 11.2, hkl 4 -2 12
- 2θ 76.75, rel. 10.9, hkl 4 1 12
- 2θ 34.61, rel. 9.8, hkl 2 -1 9

=====

(5)
Diffraction record for Pt3Br. The powder diffraction line list is computed, not measured: it uses a crystal structure in Alexandria, relaxed with GGA-PBE and CuKα.
Peak positions follow from Bragg's law for the DFT cell and can differ from measured ones.

Crystal structure
```
data_Pt3Br
_cell_length_a 5.2256
_cell_length_b 7.8065
_cell_length_c 3.7810
_cell_angle_alpha 90.00
_cell_angle_beta 90.00
_cell_angle_gamma 90.00
_space_group_name_H-M_alt 'C m m m'
_space_group_IT_number 65
_space_group_name_Hall '-C 2 2'
loop_
_atom_site_label
_atom_site_type_symbol
_atom_site_fract_x
_atom_site_fract_y
_atom_site_fract_z
Pt1 Pt 0.0000 0.0000 0.0000
Pt2 Pt 0.0000 0.2252 0.5000
Br1 Br 0.0000 0.5000 0.0000
```

Top 10 peaks for 15° ≤ 2θ ≤ 90°, by intensity:
- 2θ 32.98, rel. 100.0, hkl 0 2 1
- 2θ 48.34, rel. 69.3, hkl 2 2 1
- 2θ 34.32, rel. 47.6, hkl 2 0 0
- 2θ 20.45, rel. 22.2, hkl 1 1 0
- 2θ 60.44, rel. 18.9, hkl 2 0 2
- 2θ 48.13, rel. 18.6, hkl 0 0 2
- 2θ 46.53, rel. 16.2, hkl 0 4 0
- 2θ 45.75, rel. 16.1, hkl 1 3 1
- 2θ 59.08, rel. 16.1, hkl 2 4 0
- 2θ 81.81, rel. 15.4, hkl 4 2 1

=====

(6)
Diffraction record for Pt5Br3. The powder diffraction line list is computed, not measured: it uses a crystal structure in Alexandria, relaxed with GGA-PBE and CuKα.
Peak positions follow from Bragg's law for the DFT cell and can differ from measured ones.

Crystal structure
```
data_Pt5Br3
_cell_length_a 3.8869
_cell_length_b 5.5418
_cell_length_c 7.9001
_cell_angle_alpha 90.00
_cell_angle_beta 90.10
_cell_angle_gamma 90.00
_space_group_name_H-M_alt 'P 1 2/m 1'
_space_group_IT_number 10
loop_
_space_group_symop_operation_xyz
'x,y,z'
'-x,-y,-z'
'-x,y,-z'
'x,-y,z'
loop_
_atom_site_label
_atom_site_type_symbol
_atom_site_fract_x
_atom_site_fract_y
_atom_site_fract_z
Pt1 Pt 0.0000 0.0000 0.0000
Pt2 Pt 0.4993 0.2410 0.8318
Br1 Br 0.0011 0.5000 0.2943
Br2 Br 0.5000 0.0000 0.5000
```

Top 10 peaks for 15° ≤ 2θ ≤ 90°, by intensity:
- 2θ 41.42, rel. 100.0, hkl 1 0 3
- 2θ 39.96, rel. 87.9, hkl 1 2 0
- 2θ 41.63, rel. 53.3, hkl 1 2 -1
- 2θ 47.64, rel. 49.2, hkl 0 2 3
- 2θ 22.88, rel. 41.4, hkl 1 0 0
- 2θ 46.74, rel. 38.1, hkl 2 0 0
- 2θ 27.73, rel. 33.3, hkl 0 1 2
- 2θ 68.96, rel. 33.0, hkl 2 2 3
- 2θ 30.28, rel. 30.7, hkl 1 1 1
- 2θ 82.49, rel. 27.0, hkl 1 4 3